No. 1
Diffraction record for La8Sm2Al. The powder diffractogram is simulated, not measured: it uses DFT lattice parameters and positions (GGA-PBE) and Cu Kα, 1.54184 Å.

Most intense lines, 2θ = 10–80°, in order of falling intensity:
2θ 30.13, I = 1000, hkl 1 1 2
2θ 34.44, I = 172, hkl 4 0 -3
2θ 34.82, I = 167, hkl 6 0 1
2θ 35.53, I = 164, hkl 0 2 0
2θ 59.04, I = 139, hkl 3 1 -5
2θ 60.49, I = 137, hkl 1 3 2
2θ 59.55, I = 135, hkl 7 1 3
2θ 62.64, I = 117, hkl 2 2 4
2θ 49.78, I = 117, hkl 2 0 4
2θ 50.31, I = 117, hkl 4 2 -3

Structural model:
```
data_La8Sm2Al
_cell_length_a 18.636
_cell_length_b 5.054
_cell_length_c 8.228
_cell_angle_alpha 90.00
_cell_angle_beta 105.71
_cell_angle_gamma 90.00
_space_group_name_H-M_alt 'C 1 2/m 1'
_space_group_IT_number 12
_space_group_name_Hall '-C 2y'
loop_
_atom_site_label
_atom_site_type_symbol
_atom_site_fract_x
_atom_site_fract_y
_atom_site_fract_z
La1 La 0.044 0.000 0.242
La2 La 0.088 0.500 0.942
La3 La 0.132 0.000 0.673
La4 La 0.174 0.500 0.409
Sm1 Sm 0.227 0.000 0.136
Al1 Al 0.000 0.500 0.500
```

=====

No. 2
Diffraction record for La2SmAl. The powder diffractogram is simulated, not measured: it uses DFT lattice parameters and positions (GGA-PBE) and Cu Kα, 1.54184 Å.

Most intense lines, 2θ = 10–80°, in order of falling intensity:
2θ 31.41, I = 1000, hkl 2 2 0
2θ 36.30, I = 339, hkl 2 0 2
2θ 62.26, I = 279, hkl 4 2 2
2θ 52.56, I = 234, hkl 2 4 2
2θ 36.69, I = 164, hkl 0 4 0
2θ 62.79, I = 136, hkl 2 6 0
2θ 65.55, I = 120, hkl 4 4 0
2θ 52.27, I = 119, hkl 4 0 0
2θ 17.92, I = 114, hkl 1 0 1
2θ 25.58, I = 99, hkl 1 2 1

Structural model:
```
data_La2SmAl
_cell_length_a 6.996
_cell_length_b 9.798
_cell_length_c 7.005
_cell_angle_alpha 90.00
_cell_angle_beta 90.00
_cell_angle_gamma 90.00
_space_group_name_H-M_alt 'I m m a'
_space_group_IT_number 74
_space_group_name_Hall '-I 2b 2'
loop_
_atom_site_label
_atom_site_type_symbol
_atom_site_fract_x
_atom_site_fract_y
_atom_site_fract_z
La1 La 0.000 0.000 0.000
La2 La 0.250 0.250 0.250
Sm1 Sm 0.250 0.250 0.750
Al1 Al 0.000 0.000 0.500
```

=====

No. 3
Diffraction record for La2SmAl6. The powder diffractogram is simulated, not measured: it uses DFT lattice parameters and positions (GGA-PBE) and Cu Kα, 1.54184 Å.

Most intense lines, 2θ = 10–80°, in order of falling intensity:
2θ 32.30, I = 1000, hkl 1 1 1
2θ 22.26, I = 577, hkl 1 1 0
2θ 39.06, I = 399, hkl 3 0 0
2θ 51.56, I = 265, hkl 2 2 1
2θ 66.54, I = 245, hkl 4 1 1
2θ 62.91, I = 195, hkl 3 0 2
2θ 52.81, I = 115, hkl 1 1 2
2θ 45.88, I = 102, hkl 3 0 1
2θ 23.11, I = 99, hkl 0 0 1
2θ 45.42, I = 90, hkl 2 2 0

Structural model:
```
data_La2SmAl6
_cell_length_a 7.9879
_cell_length_b 7.9879
_cell_length_c 3.8486
_cell_angle_alpha 90.00
_cell_angle_beta 90.00
_cell_angle_gamma 120.00
_space_group_name_H-M_alt 'P 6/m m m'
_space_group_IT_number 191
_space_group_name_Hall '-P 6 2'
loop_
_atom_site_label
_atom_site_type_symbol
_atom_site_fract_x
_atom_site_fract_y
_atom_site_fract_z
La1 La 0.3333 0.6667 0.0000
Sm1 Sm 0.0000 0.0000 0.0000
Al1 Al 0.0000 0.3313 0.5000
```

=====

No. 4
Diffraction record for LaSm12Al3. The powder diffractogram is simulated, not measured: it uses DFT lattice parameters and positions (GGA-PBE) and Cu Kα, 1.54184 Å.

Most intense lines, 2θ = 10–80°, in order of falling intensity:
2θ 31.44, I = 1000, hkl 1 1 4
2θ 36.80, I = 343, hkl 2 0 0
2θ 62.96, I = 273, hkl 3 1 4
2θ 52.25, I = 207, hkl 2 0 8
2θ 35.76, I = 153, hkl 0 0 8
2θ 53.03, I = 120, hkl 2 2 0
2θ 61.57, I = 105, hkl 1 1 12
2θ 65.61, I = 104, hkl 2 2 8
2θ 18.16, I = 70, hkl 1 0 0
2θ 25.44, I = 61, hkl 1 0 4

Structural model:
```
data_LaSm12Al3
_cell_length_a 4.884
_cell_length_b 4.884
_cell_length_c 20.088
_cell_angle_alpha 90.00
_cell_angle_beta 90.00
_cell_angle_gamma 90.00
_space_group_name_H-M_alt 'P 4/m m m'
_space_group_IT_number 123
_space_group_name_Hall '-P 4 2'
loop_
_atom_site_label
_atom_site_type_symbol
_atom_site_fract_x
_atom_site_fract_y
_atom_site_fract_z
La1 La 0.000 0.000 0.000
Sm1 Sm 0.000 0.500 0.138
Sm2 Sm 0.000 0.500 0.380
Sm3 Sm 0.500 0.500 0.000
Sm4 Sm 0.500 0.500 0.260
Sm5 Sm 0.500 0.500 0.500
Al1 Al 0.000 0.000 0.259
Al2 Al 0.000 0.000 0.500
```